Theoretical powder diffractogram of Pm4PrMg3 for Cu Kα, 1.54184 Å, from a PBE-relaxed structure.

Structural model:
```
Pm4PrMg3
1.0
3.8172 0.0000 0.0000
0.0000 5.6264 0.0000
0.0000 0.0000 11.3685
Pm Pr Mg
4 1 3
Direct
0.0000 0.0000 0.0000
0.0000 0.0000 0.5000
0.0000 0.5000 0.2346
0.0000 0.5000 0.7654
0.5000 0.5000 0.5000
0.5000 0.0000 0.2483
0.5000 0.0000 0.7517
0.5000 0.5000 0.0000
```

Most intense lines, 10° ≤ 2θ ≤ 90°, most intense first:
- 32.43 deg, 2.761 Å, rel. 100.0
- 31.81 deg, 2.813 Å, rel. 26.7
- 22.23 deg, 3.999 Å, rel. 26.3
- 31.48 deg, 2.842 Å, rel. 26.0
- 57.06 deg, 1.614 Å, rel. 19.8
- 56.65 deg, 1.625 Å, rel. 18.9

***

Theoretical powder diffractogram of Pm3Pr6Mg for Cu Kα, 1.54184 Å, from a PBE-relaxed structure.

Structural model:
```
Pm3Pr6Mg
1.0
5.4303 0.0000 0.0000
0.0000 10.6870 0.0000
-5.4219 0.0000 12.1338
Pm Pr Mg
6 12 2
Direct
0.0000 0.0000 0.0000
0.0000 0.5000 0.5000
0.2805 0.1194 0.7805
0.2805 0.3806 0.2805
0.7195 0.6194 0.7195
0.7195 0.8806 0.2195
0.0816 0.6743 0.0815
0.0816 0.8257 0.5815
0.2518 0.0701 0.2519
0.2518 0.4299 0.7519
0.3880 0.7135 0.3881
0.3880 0.7865 0.8881
0.6120 0.2135 0.1119
0.6120 0.2865 0.6119
0.7482 0.5701 0.2481
0.7482 0.9299 0.7481
0.9184 0.1743 0.4185
0.9184 0.3257 0.9185
0.5000 0.0000 0.5000
0.5000 0.5000 0.0000
```

Most intense lines, 10° ≤ 2θ ≤ 90°, most intense first:
- 28.76 deg, 3.104 Å, rel. 100.0
- 30.91 deg, 2.893 Å, rel. 59.8
- 30.00 deg, 2.979 Å, rel. 58.4
- 32.99 deg, 2.715 Å, rel. 50.0
- 33.98 deg, 2.638 Å, rel. 24.9
- 48.09 deg, 1.892 Å, rel. 20.5

***

Theoretical powder diffractogram of Pm12Pr5Mg2 for Cu Kα, 1.54184 Å, from a PBE-relaxed structure.

Structural model:
```
Pm12Pr5Mg2
1.0
7.9608 -4.6661 0.0000
7.9608 4.6661 0.0000
-0.4836 0.0000 8.6985
Pm Pr Mg
12 5 2
Direct
0.0565 0.0565 0.3395
0.0651 0.6775 0.3151
0.1730 0.5396 0.7623
0.3225 0.9349 0.6849
0.4259 0.4259 0.1194
0.4604 0.8270 0.2377
0.5396 0.1730 0.7623
0.5741 0.5741 0.8806
0.6775 0.0651 0.3151
0.8270 0.4604 0.2377
0.9349 0.3225 0.6849
0.9435 0.9435 0.6605
0.2066 0.2066 0.0281
0.2678 0.2678 0.4304
0.5000 0.5000 0.5000
0.7322 0.7322 0.5696
0.7934 0.7934 0.9719
0.1638 0.8362 0.0000
0.8362 0.1638 0.0000
```

Most intense lines, 10° ≤ 2θ ≤ 90°, most intense first:
- 30.92 deg, 2.892 Å, rel. 100.0
- 31.32 deg, 2.856 Å, rel. 73.0
- 32.53 deg, 2.753 Å, rel. 71.7
- 29.53 deg, 3.025 Å, rel. 62.8
- 28.05 deg, 3.182 Å, rel. 54.5
- 29.82 deg, 2.996 Å, rel. 47.9

***

Theoretical powder diffractogram of Pm5Pr4Mg2 for Cu Kα, 1.54184 Å, from a PBE-relaxed structure.

Structural model:
```
Pm5Pr4Mg2
1.0
8.9073 0.0000 0.0000
0.0000 3.5234 0.0000
-0.8622 0.0000 11.6751
Pm Pr Mg
5 4 2
Direct
0.0000 0.0000 0.0000
0.0695 0.0000 0.2940
0.2949 0.0000 0.8318
0.7051 0.0000 0.1682
0.9305 0.0000 0.7060
0.2187 0.5000 0.5479
0.3519 0.5000 0.1155
0.6481 0.5000 0.8845
0.7813 0.5000 0.4521
0.4472 0.0000 0.3686
0.5528 0.0000 0.6314
```

Most intense lines, 10° ≤ 2θ ≤ 90°, most intense first:
- 31.67 deg, 2.825 Å, rel. 100.0
- 30.60 deg, 2.922 Å, rel. 66.6
- 31.55 deg, 2.836 Å, rel. 61.4
- 30.94 deg, 2.890 Å, rel. 51.4
- 33.71 deg, 2.659 Å, rel. 43.2
- 62.05 deg, 1.496 Å, rel. 36.5

***

Theoretical powder diffractogram of Pm6Pr4Mg for Cu Kα, 1.54184 Å, from a PBE-relaxed structure.

Structural model:
```
Pm6Pr4Mg
1.0
-3.3503 3.3503 8.5438
3.3503 -3.3503 8.5438
3.3503 3.3503 -8.5438
Pm Pr Mg
6 4 1
Direct
0.0000 0.5000 0.5000
0.2156 0.2156 0.6691
0.4535 0.7844 0.0000
0.5000 0.0000 0.5000
0.5465 0.5465 0.3309
0.7844 0.4535 0.0000
0.0029 0.6394 0.0000
0.3606 0.3606 0.3635
0.6394 0.0029 0.0000
0.9971 0.9971 0.6365
0.0000 0.0000 0.0000
```

Most intense lines, 10° ≤ 2θ ≤ 90°, most intense first:
- 30.28 deg, 2.952 Å, rel. 100.0
- 28.13 deg, 3.173 Å, rel. 65.7
- 34.01 deg, 2.636 Å, rel. 39.8
- 28.62 deg, 3.119 Å, rel. 37.9
- 40.02 deg, 2.253 Å, rel. 31.2
- 36.82 deg, 2.441 Å, rel. 30.8

***

Theoretical powder diffractogram of Pm2PrSmMg for Cu Kα, 1.54184 Å, from a PBE-relaxed structure.

Structural model:
```
Pm2PrSmMg
1.0
6.1788 0.0000 0.0000
0.0000 5.7810 0.0000
-3.0729 0.0000 9.1529
Pm Pr Sm Mg
4 2 2 2
Direct
0.1033 0.2500 0.3133
0.1260 0.7500 0.0923
0.8740 0.2500 0.9077
0.8967 0.7500 0.6867
0.4649 0.2500 0.0909
0.5351 0.7500 0.9091
0.2907 0.2500 0.6870
0.7093 0.7500 0.3130
0.3130 0.7500 0.4993
0.6870 0.2500 0.5007
```

Most intense lines, 10° ≤ 2θ ≤ 90°, most intense first:
- 32.37 deg, 2.766 Å, rel. 100.0
- 30.94 deg, 2.891 Å, rel. 34.9
- 32.87 deg, 2.725 Å, rel. 31.7
- 55.94 deg, 1.644 Å, rel. 21.1
- 28.90 deg, 3.089 Å, rel. 18.4
- 21.60 deg, 4.113 Å, rel. 17.2

***

Theoretical powder diffractogram of Tb2Pm2Pr4Mg for Cu Kα, 1.54184 Å, from a PBE-relaxed structure.

Structural model:
```
Tb2Pm2Pr4Mg
1.0
5.9218 0.0000 0.0000
2.8588 6.1839 0.0000
2.8939 0.2842 8.3164
Tb Pm Pr Mg
2 2 4 1
Direct
0.1740 0.2264 0.0356
0.8260 0.7736 0.9644
0.4285 0.8854 0.7121
0.5715 0.1146 0.2879
0.2134 0.4832 0.6192
0.2712 0.6960 0.1694
0.7288 0.3040 0.8306
0.7866 0.5168 0.3808
0.0000 0.0000 0.5000
```

Most intense lines, 10° ≤ 2θ ≤ 90°, most intense first:
- 31.28 deg, 2.859 Å, rel. 100.0
- 30.52 deg, 2.929 Å, rel. 53.9
- 31.63 deg, 2.829 Å, rel. 51.6
- 31.48 deg, 2.842 Å, rel. 48.9
- 30.19 deg, 2.960 Å, rel. 48.7
- 54.62 deg, 1.680 Å, rel. 19.1

***

Theoretical powder diffractogram of Pm2PrMgTl4 for Cu Kα, 1.54184 Å, from a PBE-relaxed structure.

Structural model:
```
Pm2PrMgTl4
1.0
2.6778 1.5461 9.1932
-2.6778 1.5461 9.1932
0.0000 -3.0921 9.1932
Pm Pr Mg Tl
2 1 1 4
Direct
0.2415 0.2415 0.2415
0.7585 0.7585 0.7585
0.0000 0.0000 0.0000
0.5000 0.5000 0.5000
0.1240 0.1240 0.1240
0.3764 0.3764 0.3764
0.6236 0.6236 0.6236
0.8760 0.8760 0.8760
```

Most intense lines, 10° ≤ 2θ ≤ 90°, most intense first:
- 32.36 deg, 2.767 Å, rel. 100.0
- 33.46 deg, 2.678 Å, rel. 95.8
- 59.12 deg, 1.563 Å, rel. 36.4
- 47.24 deg, 1.924 Å, rel. 35.3
- 59.82 deg, 1.546 Å, rel. 18.4
- 57.00 deg, 1.616 Å, rel. 17.8

***

Theoretical powder diffractogram of Pm2Pr4TmMg for Cu Kα, 1.54184 Å, from a PBE-relaxed structure.

Structural model:
```
Pm2Pr4TmMg
1.0
5.1122 0.0000 0.0000
0.0000 5.1122 0.0000
0.0000 0.0000 10.1667
Pm Pr Tm Mg
2 4 1 1
Direct
0.0000 0.0000 0.0000
0.5000 0.5000 0.5000
0.0000 0.5000 0.2478
0.0000 0.5000 0.7522
0.5000 0.0000 0.2478
0.5000 0.0000 0.7522
0.0000 0.0000 0.5000
0.5000 0.5000 0.0000
```

Most intense lines, 10° ≤ 2θ ≤ 90°, most intense first:
- 30.34 deg, 2.946 Å, rel. 100.0
- 35.11 deg, 2.556 Å, rel. 33.9
- 60.05 deg, 1.541 Å, rel. 28.7
- 50.65 deg, 1.802 Å, rel. 23.9
- 35.31 deg, 2.542 Å, rel. 16.7
- 60.33 deg, 1.534 Å, rel. 14.1

***

Theoretical powder diffractogram of Pm2Pr6TmMg for Cu Kα, 1.54184 Å, from a PBE-relaxed structure.

Structural model:
```
Pm2Pr6TmMg
1.0
4.7038 -7.4493 0.0000
4.7038 7.4493 0.0000
-1.8792 0.0000 9.7996
Pm Pr Tm Mg
4 12 2 2
Direct
0.1963 0.2861 0.0544
0.2861 0.1963 0.5544
0.7139 0.8037 0.4456
0.8037 0.7139 0.9456
0.0018 0.5740 0.1932
0.1211 0.7512 0.5504
0.2488 0.8789 0.9496
0.3003 0.4910 0.3866
0.4260 0.9982 0.3068
0.4910 0.3003 0.8866
0.5090 0.6997 0.1134
0.5740 0.0018 0.6932
0.6997 0.5090 0.6134
0.7512 0.1211 0.0504
0.8789 0.2488 0.4496
0.9982 0.4260 0.8068
0.0148 0.9852 0.2500
0.9852 0.0148 0.7500
0.4040 0.5960 0.7500
0.5960 0.4040 0.2500
```

Most intense lines, 10° ≤ 2θ ≤ 90°, most intense first:
- 31.39 deg, 2.849 Å, rel. 100.0
- 29.33 deg, 3.045 Å, rel. 74.3
- 28.54 deg, 3.128 Å, rel. 64.9
- 31.11 deg, 2.874 Å, rel. 60.7
- 31.55 deg, 2.836 Å, rel. 56.1
- 29.87 deg, 2.992 Å, rel. 55.3

***

Theoretical powder diffractogram of Pm4Pr2Y2Mg for Cu Kα, 1.54184 Å, from a PBE-relaxed structure.

Structural model:
```
Pm4Pr2Y2Mg
1.0
6.5636 0.0000 0.0000
0.3988 6.5748 0.0000
2.0530 1.8440 7.0943
Pm Pr Y Mg
4 2 2 1
Direct
0.1685 0.2043 0.3029
0.3199 0.6671 0.4014
0.6801 0.3329 0.5986
0.8315 0.7957 0.6971
0.1361 0.1808 0.7811
0.8639 0.8192 0.2189
0.2922 0.6293 0.8943
0.7078 0.3707 0.1057
0.5000 0.0000 0.0000
```

Most intense lines, 10° ≤ 2θ ≤ 90°, most intense first:
- 31.99 deg, 2.798 Å, rel. 100.0
- 31.49 deg, 2.841 Å, rel. 42.4
- 31.61 deg, 2.831 Å, rel. 40.4
- 32.74 deg, 2.735 Å, rel. 39.0
- 33.03 deg, 2.712 Å, rel. 34.8
- 28.04 deg, 3.182 Å, rel. 21.0

***

Theoretical powder diffractogram of PmPr4Y2Mg for Cu Kα, 1.54184 Å, from a PBE-relaxed structure.

Structural model:
```
PmPr4Y2Mg
1.0
5.8263 0.0000 0.0000
0.0000 5.8351 0.0000
0.0000 0.0000 7.8993
Pm Pr Y Mg
1 4 2 1
Direct
0.0000 0.0000 0.0000
0.0000 0.5000 0.2662
0.0000 0.5000 0.7338
0.5000 0.0000 0.2648
0.5000 0.0000 0.7352
0.0000 0.0000 0.5000
0.5000 0.5000 0.0000
0.5000 0.5000 0.5000
```

Most intense lines, 10° ≤ 2θ ≤ 90°, most intense first:
- 31.36 deg, 2.852 Å, rel. 100.0
- 30.67 deg, 2.915 Å, rel. 54.3
- 54.96 deg, 1.671 Å, rel. 40.4
- 43.92 deg, 2.061 Å, rel. 20.1
- 56.26 deg, 1.635 Å, rel. 17.5
- 65.45 deg, 1.426 Å, rel. 11.0

***

Theoretical powder diffractogram of Pm2PrY6Mg for Cu Kα, 1.54184 Å, from a PBE-relaxed structure.

Structural model:
```
Pm2PrY6Mg
1.0
4.6208 -7.3466 0.0000
4.6208 7.3466 0.0000
-1.5461 0.0000 9.5863
Pm Pr Y Mg
4 2 12 2
Direct
0.2007 0.2960 0.0558
0.2960 0.2007 0.5558
0.7040 0.7993 0.4442
0.7993 0.7040 0.9442
0.0177 0.9823 0.2500
0.9823 0.0177 0.7500
0.0075 0.5674 0.1878
0.1176 0.7447 0.5551
0.2553 0.8824 0.9449
0.3046 0.5100 0.3899
0.4326 0.9925 0.3122
0.4900 0.6954 0.1101
0.5100 0.3046 0.8899
0.5674 0.0075 0.6878
0.6954 0.4900 0.6101
0.7447 0.1176 0.0551
0.8824 0.2553 0.4449
0.9925 0.4326 0.8122
0.4022 0.5978 0.7500
0.5978 0.4022 0.2500
```

Most intense lines, 10° ≤ 2θ ≤ 90°, most intense first:
- 31.59 deg, 2.832 Å, rel. 100.0
- 32.88 deg, 2.724 Å, rel. 93.8
- 28.86 deg, 3.093 Å, rel. 71.2
- 30.00 deg, 2.979 Å, rel. 70.2
- 30.51 deg, 2.930 Å, rel. 60.1
- 32.00 deg, 2.797 Å, rel. 51.1